Diffraction record for Cs2CrF7. The powder XRD pattern is theoretical, not measured: it uses a crystal structure in Alexandria, relaxed with GGA+U and λ = 1.5418 Å (Cu Kα).

Main lines, low angle first (10 to 80 degrees two-theta):
- (3 1 -1), 22.8 deg, I = 100
- (3 1 -2), 22.8 deg, I = 19
- (0 0 2), 23.3 deg, I = 55
- (0 2 0), 26.8 deg, I = 17
- (3 1 -3), 28.3 deg, I = 50
- (0 2 1), 29.3 deg, I = 32
- (0 2 2), 35.8 deg, I = 21
- (3 1 1), 36.9 deg, I = 26
- (6 0 -4), 37.5 deg, I = 39
- (4 2 -1), 37.8 deg, I = 16
- (3 3 -2), 45.0 deg, I = 27
- (0 4 1), 56.6 deg, I = 23

Unit cell a=15.1813 b=6.6621 c=10.7545 alpha=90.00 beta=134.73 gamma=90.00
Space group C2/c (No. 15)
Asymmetric unit:
Cs 0.1558 0.1816 0.2396 [8 per cell]
Cr 0.0000 0.2948 0.7500 [4 per cell]
F 0.0000 0.4148 0.2500 [4 per cell]
F 0.0791 0.0589 0.8979 [8 per cell]
F 0.0888 0.2961 0.6924 [8 per cell]
F 0.1430 0.3801 0.9739 [8 per cell]